Structure and theoretical X-ray powder pattern of NaNbAsO (the PBE geometry in OQMD; a wavelength of 1.5418 Å).

Structural model:
Cell lengths 3.4566, 7.1581, 6.0013 Å; angles 90.00, 90.00, 90.00 degrees
Space group Pmc2_1 (No. 26)
One atom of each set of equivalent atoms:
Na1 0.0000 0.1137 0.0000
Nb1 0.5000 0.4950 0.7231
As1 0.0000 0.2923 0.4677
O1 0.5000 0.3071 0.9701

Largest 8 diffraction maxima, in order of rising 2θ, 2θ from 10° to 90°:
| Position (°2θ) | I (rel.) | index |
| --- | --- | --- |
| 12.37 | 100 | 0 1 0 |
| 28.68 | 25 | 1 1 0 |
| 32.38 | 34 | 0 1 2 |
| 36.13 | 29 | 1 2 0 |
| 39.19 | 43 | 0 2 2 |
| 39.78 | 33 | 1 0 2 |
| 41.81 | 15 | 1 1 2 |
| 48.77 | 20 | 0 3 2 |